The following is a simulated X-ray diffraction stick pattern of LaCeCo10. It was derived from a cell relaxed with GGA-PBE, using λ = 1.5418 Å (Cu Kα).
Peak positions follow from Bragg's law for the DFT cell and can differ from measured ones.

Peak list (12 most intense, 2θ from 5° to 70°, low angle first)
| Position (°2θ) | I/Imax | index |
| --- | --- | --- |
| 22.21 | 5 | 1 0 0 |
| 30.61 | 48 | 1 1 1 |
| 36.43 | 31 | 0 2 0 |
| 42.32 | 35 | 0 0 4 |
| 43.09 | 100 | 1 2 0 |
| 45.32 | 28 | 2 0 0 |
| 48.30 | 8 | 1 2 2 |
| 59.49 | 14 | 2 2 0 |
| 61.96 | 9 | 1 2 4 |
| 62.04 | 4 | 1 3 1 |
| 63.73 | 20 | 2 0 4 |
| 65.60 | 3 | 0 3 3 |

Structural model:
```
data_LaCeCo10
_chemical_formula_sum 'La1 Ce1 Co10'
_space_group_name_H-M_alt 'P m m m'
_space_group_IT_number 47
_cell_length_a 4.002
_cell_length_b 4.927
_cell_length_c 8.551
_cell_angle_alpha 90.00
_cell_angle_beta 90.00
_cell_angle_gamma 90.00
loop_
_space_group_symop_operation_xyz
'x,y,z'
'-x,-y,-z'
'-x,-y,z'
'x,y,-z'
'x,-y,-z'
'-x,y,z'
'-x,y,-z'
'x,-y,z'
loop_
_atom_site_label
_atom_site_type_symbol
_atom_site_fract_x
_atom_site_fract_y
_atom_site_fract_z
La1 La 0.000 0.000 0.000
Ce1 Ce 0.000 0.500 0.500
Co1 Co 0.000 0.000 0.344
Co2 Co 0.000 0.500 0.180
Co3 Co 0.500 0.000 0.500
Co4 Co 0.500 0.250 0.253
Co5 Co 0.500 0.500 0.000
```


The following is a simulated X-ray diffraction stick pattern of LaCeCo5Ni5. It was derived from a cell relaxed with GGA-PBE, using λ = 1.5418 Å (Cu Kα).
Peak positions follow from Bragg's law for the DFT cell and can differ from measured ones.

Peak list (12 most intense, 2θ from 5° to 70°, low angle first)
| Position (°2θ) | I/Imax | index |
| --- | --- | --- |
| 30.59 | 46 | 1 1 1 |
| 30.71 | 27 | 1 0 2 |
| 36.38 | 15 | 0 2 0 |
| 36.68 | 30 | 0 1 3 |
| 42.37 | 39 | 0 2 2 |
| 42.72 | 17 | 0 0 4 |
| 43.01 | 52 | 1 2 0 |
| 43.27 | 100 | 1 1 3 |
| 45.22 | 43 | 2 0 0 |
| 59.57 | 14 | 2 1 3 |
| 63.69 | 22 | 2 2 2 |
| 63.95 | 10 | 2 0 4 |

Structural model:
```
data_LaCeCo5Ni5
_chemical_formula_sum 'La1 Ce1 Co5 Ni5'
_space_group_name_H-M_alt 'P m m m'
_space_group_IT_number 47
_cell_length_a 4.011
_cell_length_b 4.939
_cell_length_c 8.466
_cell_angle_alpha 90.00
_cell_angle_beta 90.00
_cell_angle_gamma 90.00
loop_
_space_group_symop_operation_xyz
'x,y,z'
'-x,-y,-z'
'-x,-y,z'
'x,y,-z'
'x,-y,-z'
'-x,y,z'
'-x,y,-z'
'x,-y,z'
loop_
_atom_site_label
_atom_site_type_symbol
_atom_site_fract_x
_atom_site_fract_y
_atom_site_fract_z
La1 La 0.000 0.000 0.000
Ce1 Ce 0.000 0.500 0.500
Co1 Co 0.000 0.000 0.346
Co2 Co 0.000 0.500 0.169
Co3 Co 0.500 0.500 0.000
Ni1 Ni 0.500 0.000 0.500
Ni2 Ni 0.500 0.252 0.253
```


The following is a simulated X-ray diffraction stick pattern of CeMg14Co. It was derived from a cell relaxed with GGA-PBE, using λ = 1.5418 Å (Cu Kα).
Peak positions follow from Bragg's law for the DFT cell and can differ from measured ones.

Peak list (12 most intense, 2θ from 5° to 70°, low angle first)
| Position (°2θ) | I/Imax | index |
| --- | --- | --- |
| 8.37 | 87 | 1 0 0 |
| 15.19 | 24 | 0 0 2 |
| 16.78 | 19 | 2 0 0 |
| 17.37 | 33 | 1 0 2 |
| 33.14 | 37 | 0 2 2 |
| 33.94 | 50 | 4 0 0 |
| 35.15 | 72 | 2 0 4 |
| 37.37 | 100 | 2 2 2 |
| 48.17 | 25 | 4 2 2 |
| 56.10 | 18 | 0 2 6 |
| 63.00 | 19 | 6 2 2 |
| 67.21 | 19 | 4 2 6 |

Structural model:
```
data_CeMg14Co
_chemical_formula_sum 'Ce2 Mg28 Co2'
_space_group_name_H-M_alt 'A m m 2'
_space_group_IT_number 38
_cell_length_a 10.564
_cell_length_b 6.101
_cell_length_c 11.665
_cell_angle_alpha 90.00
_cell_angle_beta 90.00
_cell_angle_gamma 90.00
loop_
_space_group_symop_operation_xyz
'x,y,z'
'-x,-y,z'
'-x,y,z'
'x,-y,z'
'x,y+1/2,z+1/2'
'-x,-y+1/2,z+1/2'
'-x,y+1/2,z+1/2'
'x,-y+1/2,z+1/2'
loop_
_atom_site_label
_atom_site_type_symbol
_atom_site_fract_x
_atom_site_fract_y
_atom_site_fract_z
Ce1 Ce 0.000 0.000 0.000
Mg1 Mg 0.000 0.241 0.250
Mg2 Mg 0.223 0.000 0.637
Mg3 Mg 0.249 0.249 0.397
Mg4 Mg 0.261 0.000 0.151
Mg5 Mg 0.500 0.000 0.491
Mg6 Mg 0.500 0.000 0.987
Mg7 Mg 0.500 0.247 0.739
Co1 Co 0.000 0.000 0.482
```


The following is a simulated X-ray diffraction stick pattern of CeMg14Co. It was derived from a cell relaxed with GGA-PBE, using λ = 1.5418 Å (Cu Kα).
Peak positions follow from Bragg's law for the DFT cell and can differ from measured ones.

Peak list (12 most intense, 2θ from 5° to 70°, low angle first)
| Position (°2θ) | I/Imax | index |
| --- | --- | --- |
| 15.91 | 39 | 1 0 0 |
| 18.20 | 13 | 1 0 1 |
| 23.82 | 28 | 1 0 2 |
| 32.15 | 29 | 2 0 0 |
| 33.06 | 13 | 1 1 2 |
| 35.66 | 23 | 0 0 4 |
| 36.89 | 100 | 2 0 2 |
| 46.78 | 10 | 2 1 2 |
| 48.77 | 17 | 2 0 4 |
| 57.31 | 20 | 2 2 0 |
| 64.87 | 17 | 2 0 6 |
| 69.36 | 18 | 2 2 4 |

Structural model:
```
data_CeMg14Co
_chemical_formula_sum 'Ce1 Mg14 Co1'
_space_group_name_H-M_alt 'P -6 m 2'
_space_group_IT_number 187
_space_group_name_Hall 'P -6 2'
_cell_length_a 6.4306
_cell_length_b 6.4306
_cell_length_c 10.0698
_cell_angle_alpha 90.00
_cell_angle_beta 90.00
_cell_angle_gamma 120.00
loop_
_atom_site_label
_atom_site_type_symbol
_atom_site_fract_x
_atom_site_fract_y
_atom_site_fract_z
Ce1 Ce 0.0000 0.0000 0.0000
Mg1 Mg 0.0114 0.5057 0.0000
Mg2 Mg 0.1638 0.3275 0.2655
Mg3 Mg 0.5013 0.0026 0.5000
Mg4 Mg 0.6667 0.3333 0.2418
Co1 Co 0.0000 0.0000 0.5000
```


The following is a simulated X-ray diffraction stick pattern of CeMn4Co8. It was derived from a cell relaxed with GGA-PBE, using λ = 1.5418 Å (Cu Kα).
Peak positions follow from Bragg's law for the DFT cell and can differ from measured ones.

Peak list (12 most intense, 2θ from 5° to 70°, low angle first)
| Position (°2θ) | I/Imax | index |
| --- | --- | --- |
| 30.88 | 32 | 2 1 1 |
| 33.80 | 13 | 3 1 0 |
| 37.75 | 45 | 3 0 1 |
| 39.55 | 18 | 0 0 2 |
| 43.14 | 61 | 4 0 0 |
| 43.69 | 100 | 3 2 1 |
| 45.29 | 62 | 2 0 2 |
| 45.91 | 10 | 3 3 0 |
| 48.54 | 13 | 4 2 0 |
| 49.04 | 13 | 4 1 1 |
| 50.51 | 28 | 2 2 2 |
| 64.82 | 9 | 5 3 0 |

Structural model:
```
data_CeMn4Co8
_chemical_formula_sum 'Ce2 Mn8 Co16'
_space_group_name_H-M_alt 'I 4/m m m'
_space_group_IT_number 139
_space_group_name_Hall '-I 4 2'
_cell_length_a 8.387
_cell_length_b 8.387
_cell_length_c 4.558
_cell_angle_alpha 90.00
_cell_angle_beta 90.00
_cell_angle_gamma 90.00
loop_
_atom_site_label
_atom_site_type_symbol
_atom_site_fract_x
_atom_site_fract_y
_atom_site_fract_z
Ce1 Ce 0.000 0.000 0.000
Mn1 Mn 0.250 0.250 0.250
Co1 Co 0.000 0.228 0.500
Co2 Co 0.000 0.358 0.000
```


The following is a simulated X-ray diffraction stick pattern of CeMn5Co7. It was derived from a cell relaxed with GGA-PBE, using λ = 1.5418 Å (Cu Kα).
Peak positions follow from Bragg's law for the DFT cell and can differ from measured ones.

Peak list (12 most intense, 2θ from 5° to 70°, low angle first)
| Position (°2θ) | I/Imax | index |
| --- | --- | --- |
| 30.84 | 49 | 1 2 1 |
| 37.66 | 34 | 1 0 3 |
| 37.88 | 37 | 1 3 0 |
| 39.23 | 29 | 2 0 0 |
| 43.13 | 47 | 0 0 4 |
| 43.48 | 46 | 0 4 0 |
| 43.69 | 76 | 1 2 3 |
| 43.80 | 78 | 1 3 2 |
| 45.04 | 100 | 2 0 2 |
| 46.08 | 15 | 0 3 3 |
| 50.32 | 43 | 2 2 2 |
| 62.07 | 12 | 2 3 3 |

Structural model:
```
data_CeMn5Co7
_chemical_formula_sum 'Ce2 Mn10 Co14'
_space_group_name_H-M_alt 'I m m 2'
_space_group_IT_number 44
_cell_length_a 4.593
_cell_length_b 8.326
_cell_length_c 8.390
_cell_angle_alpha 90.00
_cell_angle_beta 90.00
_cell_angle_gamma 90.00
loop_
_space_group_symop_operation_xyz
'x,y,z'
'-x,-y,z'
'-x,y,z'
'x,-y,z'
'x+1/2,y+1/2,z+1/2'
'-x+1/2,-y+1/2,z+1/2'
'-x+1/2,y+1/2,z+1/2'
'x+1/2,-y+1/2,z+1/2'
loop_
_atom_site_label
_atom_site_type_symbol
_atom_site_fract_x
_atom_site_fract_y
_atom_site_fract_z
Ce1 Ce 0.000 0.000 0.000
Mn1 Mn 0.000 0.500 0.266
Mn2 Mn 0.249 0.248 0.747
Co1 Co 0.000 0.000 0.355
Co2 Co 0.000 0.000 0.639
Co3 Co 0.000 0.273 0.496
Co4 Co 0.000 0.357 0.996
Co5 Co 0.000 0.500 0.725
```


The following is a simulated X-ray diffraction stick pattern of CeMn4Co8. It was derived from a cell relaxed with GGA-PBE, using λ = 1.5418 Å (Cu Kα).
Peak positions follow from Bragg's law for the DFT cell and can differ from measured ones.

Peak list (12 most intense, 2θ from 5° to 70°, low angle first)
| Position (°2θ) | I/Imax | index |
| --- | --- | --- |
| 30.35 | 36 | 2 1 1 |
| 33.52 | 14 | 3 1 0 |
| 37.21 | 48 | 3 0 1 |
| 38.33 | 17 | 0 0 2 |
| 42.78 | 68 | 4 0 0 |
| 43.12 | 100 | 3 2 1 |
| 44.11 | 84 | 2 0 2 |
| 45.52 | 12 | 3 3 0 |
| 48.13 | 16 | 4 2 0 |
| 48.44 | 15 | 4 1 1 |
| 49.35 | 31 | 2 2 2 |
| 63.13 | 13 | 4 2 2 |

Structural model:
```
data_CeMn4Co8
_chemical_formula_sum 'Ce2 Mn8 Co16'
_space_group_name_H-M_alt 'I 4/m m m'
_space_group_IT_number 139
_space_group_name_Hall '-I 4 2'
_cell_length_a 8.455
_cell_length_b 8.455
_cell_length_c 4.697
_cell_angle_alpha 90.00
_cell_angle_beta 90.00
_cell_angle_gamma 90.00
loop_
_atom_site_label
_atom_site_type_symbol
_atom_site_fract_x
_atom_site_fract_y
_atom_site_fract_z
Ce1 Ce 0.000 0.000 0.000
Mn1 Mn 0.000 0.233 0.500
Co1 Co 0.000 0.363 0.000
Co2 Co 0.250 0.250 0.250
```


The following is a simulated X-ray diffraction stick pattern of CeCo2P2. It was derived from a cell relaxed with GGA-PBE, using λ = 1.5418 Å (Cu Kα).
Peak positions follow from Bragg's law for the DFT cell and can differ from measured ones.

Peak list (10 most intense, 2θ from 5° to 70°, low angle first)
| Position (°2θ) | I/Imax | index |
| --- | --- | --- |
| 24.72 | 35 | 1 0 1 |
| 32.56 | 6 | 1 1 0 |
| 36.53 | 48 | 1 0 3 |
| 37.77 | 100 | 1 1 2 |
| 46.71 | 36 | 2 0 0 |
| 50.70 | 1 | 1 1 4 |
| 53.56 | 23 | 1 0 5 |
| 60.71 | 21 | 2 1 3 |
| 61.56 | 12 | 2 0 4 |
| 68.20 | 27 | 2 2 0 |

Structural model:
```
data_CeCo2P2
_chemical_formula_sum 'Ce2 Co4 P4'
_space_group_name_H-M_alt 'I 4/m m m'
_space_group_IT_number 139
_space_group_name_Hall '-I 4 2'
_cell_length_a 3.889
_cell_length_b 3.889
_cell_length_c 9.527
_cell_angle_alpha 90.00
_cell_angle_beta 90.00
_cell_angle_gamma 90.00
loop_
_atom_site_label
_atom_site_type_symbol
_atom_site_fract_x
_atom_site_fract_y
_atom_site_fract_z
Ce1 Ce 0.000 0.000 0.000
Co1 Co 0.000 0.500 0.250
P1 P 0.000 0.000 0.371
```


The following is a simulated X-ray diffraction stick pattern of Ce2Co12P7. It was derived from a cell relaxed with GGA-PBE, using λ = 1.5418 Å (Cu Kα).
Peak positions follow from Bragg's law for the DFT cell and can differ from measured ones.

Peak list (12 most intense, 2θ from 5° to 70°, low angle first)
| Position (°2θ) | I/Imax | index |
| --- | --- | --- |
| 27.07 | 8 | 1 0 1 |
| 30.27 | 10 | 1 2 0 |
| 34.44 | 8 | 3 0 0 |
| 39.32 | 100 | 1 2 1 |
| 39.98 | 8 | 2 2 0 |
| 41.69 | 8 | 3 1 0 |
| 46.50 | 9 | 4 0 0 |
| 48.95 | 9 | 3 1 1 |
| 50.23 | 17 | 0 0 2 |
| 53.78 | 16 | 4 1 0 |
| 57.33 | 10 | 2 3 1 |
| 68.62 | 8 | 2 4 1 |

Structural model:
```
data_Ce2Co12P7
_chemical_formula_sum 'Ce2 Co12 P7'
_space_group_name_H-M_alt 'P -6'
_space_group_IT_number 174
_cell_length_a 9.0197
_cell_length_b 9.0197
_cell_length_c 3.6328
_cell_angle_alpha 90.00
_cell_angle_beta 90.00
_cell_angle_gamma 120.00
loop_
_space_group_symop_operation_xyz
'x,y,z'
'-x+y,-x,-z'
'-y,x-y,z'
'x,y,-z'
'-x+y,-x,z'
'-y,x-y,-z'
loop_
_atom_site_label
_atom_site_type_symbol
_atom_site_fract_x
_atom_site_fract_y
_atom_site_fract_z
Ce1 Ce 0.0000 0.0000 0.0000
Ce2 Ce 0.3333 0.6667 0.5000
Co1 Co 0.0390 0.7675 0.5000
Co2 Co 0.1009 0.3859 0.0000
Co3 Co 0.4440 0.2346 0.0000
Co4 Co 0.5134 0.0608 0.5000
P1 P 0.0632 0.6239 0.0000
P2 P 0.2630 0.0383 0.5000
P3 P 0.6667 0.3333 0.5000
```


The following is a simulated X-ray diffraction stick pattern of CeCo5P3. It was derived from a cell relaxed with GGA-PBE, using λ = 1.5418 Å (Cu Kα).
Peak positions follow from Bragg's law for the DFT cell and can differ from measured ones.

Peak list (12 most intense, 2θ from 5° to 70°, low angle first)
| Position (°2θ) | I/Imax | index |
| --- | --- | --- |
| 26.73 | 15 | 1 1 1 |
| 29.93 | 14 | 2 0 3 |
| 35.35 | 13 | 1 0 4 |
| 35.51 | 10 | 0 1 3 |
| 37.71 | 18 | 3 1 2 |
| 38.79 | 100 | 2 1 3 |
| 39.23 | 59 | 4 1 0 |
| 39.38 | 12 | 5 0 1 |
| 40.26 | 25 | 4 0 3 |
| 44.22 | 9 | 1 0 5 |
| 49.36 | 35 | 0 2 0 |
| 53.84 | 22 | 6 0 3 |

Structural model:
```
data_CeCo5P3
_chemical_formula_sum 'Ce4 Co20 P12'
_space_group_name_H-M_alt 'P n m a'
_space_group_IT_number 62
_cell_length_a 11.729
_cell_length_b 3.693
_cell_length_c 10.402
_cell_angle_alpha 90.00
_cell_angle_beta 90.00
_cell_angle_gamma 90.00
loop_
_space_group_symop_operation_xyz
'x,y,z'
'-x,-y,-z'
'-x+1/2,-y,z+1/2'
'x+1/2,y,-z+1/2'
'x+1/2,-y+1/2,-z+1/2'
'-x+1/2,y+1/2,z+1/2'
'-x,y+1/2,-z'
'x,-y+1/2,z'
loop_
_atom_site_label
_atom_site_type_symbol
_atom_site_fract_x
_atom_site_fract_y
_atom_site_fract_z
Ce1 Ce 0.202 0.250 0.084
Co1 Co 0.011 0.750 0.715
Co2 Co 0.012 0.750 0.092
Co3 Co 0.068 0.750 0.471
Co4 Co 0.179 0.250 0.780
Co5 Co 0.196 0.250 0.383
P1 P 0.110 0.750 0.894
P2 P 0.111 0.250 0.584
P3 P 0.126 0.750 0.275
```


The following is a simulated X-ray diffraction stick pattern of CePu4Co3. It was derived from a cell relaxed with GGA-PBE, using λ = 1.5418 Å (Cu Kα).
Peak positions follow from Bragg's law for the DFT cell and can differ from measured ones.

Peak list (12 most intense, 2θ from 5° to 70°, low angle first)
| Position (°2θ) | I/Imax | index |
| --- | --- | --- |
| 23.96 | 34 | 1 2 1 |
| 25.68 | 30 | 2 1 1 |
| 31.18 | 63 | 0 0 2 |
| 34.13 | 100 | 2 3 1 |
| 35.03 | 28 | 0 2 2 |
| 36.22 | 45 | 3 2 1 |
| 36.51 | 90 | 1 4 1 |
| 36.68 | 28 | 2 0 2 |
| 36.90 | 35 | 2 4 0 |
| 40.06 | 59 | 2 2 2 |
| 41.47 | 42 | 4 2 0 |
| 42.21 | 52 | 4 1 1 |

Structural model:
```
data_CePu4Co3
_chemical_formula_sum 'Ce4 Pu16 Co12'
_space_group_name_H-M_alt 'I b a m'
_space_group_IT_number 72
_space_group_name_Hall '-I 2 2c'
_cell_length_a 9.427
_cell_length_b 11.382
_cell_length_c 5.737
_cell_angle_alpha 90.00
_cell_angle_beta 90.00
_cell_angle_gamma 90.00
loop_
_atom_site_label
_atom_site_type_symbol
_atom_site_fract_x
_atom_site_fract_y
_atom_site_fract_z
Ce1 Ce 0.000 0.000 0.250
Pu1 Pu 0.094 0.270 0.000
Pu2 Pu 0.214 0.420 0.500
Co1 Co 0.000 0.500 0.250
Co2 Co 0.158 0.167 0.500
```


The following is a simulated X-ray diffraction stick pattern of CeCoSi2Rh. It was derived from a cell relaxed with GGA-PBE, using λ = 1.5418 Å (Cu Kα).
Peak positions follow from Bragg's law for the DFT cell and can differ from measured ones.

Peak list (12 most intense, 2θ from 5° to 70°, low angle first)
| Position (°2θ) | I/Imax | index |
| --- | --- | --- |
| 23.88 | 36 | 1 0 1 |
| 34.98 | 40 | 1 0 3 |
| 35.91 | 17 | 0 0 4 |
| 36.39 | 100 | 1 1 2 |
| 45.16 | 38 | 2 0 0 |
| 48.51 | 3 | 1 1 4 |
| 51.00 | 14 | 1 0 5 |
| 51.72 | 9 | 2 1 1 |
| 58.37 | 18 | 2 1 3 |
| 59.00 | 16 | 2 0 4 |
| 64.86 | 18 | 1 1 6 |
| 65.79 | 12 | 2 2 0 |

Structural model:
```
data_CeCoSi2Rh
_chemical_formula_sum 'Ce2 Co2 Si4 Rh2'
_space_group_name_H-M_alt 'I -4 m 2'
_space_group_IT_number 119
_space_group_name_Hall 'I -4 -2'
_cell_length_a 4.015
_cell_length_b 4.015
_cell_length_c 10.003
_cell_angle_alpha 90.00
_cell_angle_beta 90.00
_cell_angle_gamma 90.00
loop_
_atom_site_label
_atom_site_type_symbol
_atom_site_fract_x
_atom_site_fract_y
_atom_site_fract_z
Ce1 Ce 0.000 0.000 0.000
Co1 Co 0.000 0.500 0.750
Si1 Si 0.000 0.000 0.375
Rh1 Rh 0.000 0.500 0.250
```